This entry pairs a crystal structure of SrRuN2 with its simulated PXRD pattern. Radiation: copper Kα. Structure: the GGA-PBE geometry in the Materials Project.
Neutral-atom scattering factors, no anomalous dispersion.

Structural model:
abc: 6.150 8.180 5.381
angles: 90.00 111.36 90.00
Sites, in units of the cell vectors:
1 Sr 0.164 0.102 0.344
2 Sr 0.164 0.398 0.844
3 Sr 0.836 0.602 0.156
4 Sr 0.836 0.898 0.656
5 Ru 0.389 0.643 0.426
6 Ru 0.389 0.857 0.926
7 Ru 0.611 0.143 0.074
8 Ru 0.611 0.357 0.574
9 N 0.251 0.685 0.046
10 N 0.251 0.815 0.546
11 N 0.267 0.084 0.922
12 N 0.267 0.416 0.422
13 N 0.733 0.584 0.578
14 N 0.733 0.916 0.078
15 N 0.749 0.185 0.454
16 N 0.749 0.315 0.954

Largest 8 diffraction maxima, low angle first, 2θ from 15° to 90°:
- 2θ 28.2, I 100
- 2θ 28.9, I 46
- 2θ 29.7, I 56
- 2θ 31.8, I 64
- 2θ 33.1, I 80
- 2θ 33.4, I 93
- 2θ 44.3, I 36
- 2θ 45.9, I 60

---

This entry pairs a crystal structure of Zn2RuN3 with its simulated PXRD pattern. Radiation: copper Kα. Structure: the GGA-PBE geometry in the Materials Project.
Neutral-atom scattering factors, no anomalous dispersion.

Structural model:
abc: 5.691 5.691 5.347
angles: 90.00 90.00 59.52
Sites, in units of the cell vectors:
1 Zn 0.008 0.328 0.000
2 Zn 0.328 0.008 0.500
3 Zn 0.672 0.992 0.000
4 Zn 0.992 0.672 0.500
5 Ru 0.333 0.667 0.988
6 Ru 0.667 0.333 0.488
7 N 0.021 0.660 0.880
8 N 0.340 0.979 0.880
9 N 0.352 0.648 0.351
10 N 0.648 0.352 0.851
11 N 0.660 0.021 0.380
12 N 0.979 0.340 0.380

Largest 8 diffraction maxima, low angle first, 2θ from 15° to 90°:
- 2θ 31.4, I 44
- 2θ 33.5, I 53
- 2θ 35.7, I 100
- 2θ 36.0, I 54
- 2θ 46.6, I 22
- 2θ 56.3, I 28
- 2θ 61.4, I 29
- 2θ 67.1, I 26

---

This entry pairs a crystal structure of Zr4Ru2N with its simulated PXRD pattern. Radiation: copper Kα. Structure: the GGA-PBE geometry in the Materials Project.
Neutral-atom scattering factors, no anomalous dispersion.

Structural model:
abc: 8.797 8.797 8.797
angles: 60.00 60.00 60.00
Sites, in units of the cell vectors:
1 Zr 0.000 0.000 0.000
2 Zr 0.000 0.000 0.500
3 Zr 0.000 0.500 0.000
4 Zr 0.191 0.191 0.559
5 Zr 0.191 0.559 0.191
6 Zr 0.191 0.559 0.559
7 Zr 0.441 0.441 0.809
8 Zr 0.441 0.809 0.441
9 Zr 0.441 0.809 0.809
10 Zr 0.500 0.000 0.000
11 Zr 0.559 0.191 0.191
12 Zr 0.559 0.191 0.559
13 Zr 0.559 0.559 0.191
14 Zr 0.809 0.441 0.441
15 Zr 0.809 0.441 0.809
16 Zr 0.809 0.809 0.441
17 Ru 0.136 0.788 0.788
18 Ru 0.212 0.212 0.212
19 Ru 0.212 0.212 0.864
20 Ru 0.212 0.864 0.212
21 Ru 0.788 0.136 0.788
22 Ru 0.788 0.788 0.136
23 Ru 0.788 0.788 0.788
24 Ru 0.864 0.212 0.212
25 N 0.000 0.500 0.500
26 N 0.500 0.000 0.500
27 N 0.500 0.500 0.000
28 N 0.500 0.500 0.500

Largest 8 diffraction maxima, low angle first, 2θ from 15° to 90°:
- 2θ 31.3, I 7
- 2θ 35.3, I 31
- 2θ 37.6, I 100
- 2θ 41.0, I 25
- 2θ 43.7, I 10
- 2θ 63.4, I 32
- 2θ 64.9, I 8
- 2θ 76.1, I 19

---

This entry pairs a crystal structure of S7N with its simulated PXRD pattern. Radiation: copper Kα. Structure: the GGA-PBE geometry in the Materials Project.
Neutral-atom scattering factors, no anomalous dispersion.

Structural model:
abc: 8.655 13.831 8.134
angles: 90.00 90.00 90.00
Sites, in units of the cell vectors:
1 S 0.049 0.130 0.152
2 S 0.049 0.370 0.152
3 S 0.126 0.250 0.277
4 S 0.180 0.141 0.755
5 S 0.180 0.359 0.755
6 S 0.224 0.090 0.993
7 S 0.224 0.410 0.993
8 S 0.276 0.590 0.493
9 S 0.276 0.910 0.493
10 S 0.320 0.641 0.255
11 S 0.320 0.859 0.255
12 S 0.374 0.750 0.777
13 S 0.451 0.630 0.652
14 S 0.451 0.870 0.652
15 S 0.549 0.130 0.348
16 S 0.549 0.370 0.348
17 S 0.626 0.250 0.223
18 S 0.680 0.141 0.745
19 S 0.680 0.359 0.745
20 S 0.724 0.090 0.507
21 S 0.724 0.410 0.507
22 S 0.776 0.590 0.007
23 S 0.776 0.910 0.007
24 S 0.820 0.641 0.245
25 S 0.820 0.859 0.245
26 S 0.874 0.750 0.723
27 S 0.951 0.630 0.848
28 S 0.951 0.870 0.848
29 N 0.230 0.250 0.711
30 N 0.270 0.750 0.211
31 N 0.730 0.250 0.789
32 N 0.770 0.750 0.289

Largest 8 diffraction maxima, low angle first, 2θ from 15° to 90°:
- 2θ 16.3, I 43
- 2θ 20.5, I 18
- 2θ 21.5, I 100
- 2θ 24.2, I 70
- 2θ 24.5, I 68
- 2θ 25.4, I 35
- 2θ 25.8, I 34
- 2θ 30.9, I 28

---

This entry pairs a crystal structure of SN with its simulated PXRD pattern. Radiation: copper Kα. Structure: the GGA-PBE geometry in the Materials Project.
Neutral-atom scattering factors, no anomalous dispersion.

Structural model:
abc: 4.635 5.946 30.421
angles: 93.14 90.28 90.15
Sites, in units of the cell vectors:
1 S 0.000 0.000 0.000
2 S 0.007 0.903 0.844
3 S 0.073 0.175 0.317
4 S 0.211 0.318 0.120
5 S 0.220 0.434 0.928
6 S 0.273 0.670 0.577
7 S 0.317 0.503 0.209
8 S 0.410 0.745 0.707
9 S 0.431 0.791 0.055
10 S 0.500 0.274 0.447
11 S 0.511 0.368 0.602
12 S 0.574 0.102 0.130
13 S 0.711 0.955 0.326
14 S 0.720 0.841 0.519
15 S 0.769 0.601 0.869
16 S 0.819 0.769 0.237
17 S 0.909 0.524 0.740
18 S 0.930 0.484 0.392
19 N 0.012 0.799 0.962
20 N 0.016 0.428 0.886
21 N 0.024 0.536 0.236
22 N 0.093 0.396 0.348
23 N 0.195 0.633 0.966
24 N 0.208 0.985 0.042
25 N 0.236 0.524 0.155
26 N 0.251 0.556 0.734
27 N 0.326 0.893 0.845
28 N 0.514 0.474 0.485
29 N 0.519 0.844 0.561
30 N 0.524 0.736 0.211
31 N 0.594 0.880 0.099
32 N 0.695 0.641 0.480
33 N 0.704 0.290 0.405
34 N 0.742 0.748 0.292
35 N 0.749 0.716 0.712
36 N 0.830 0.379 0.602

Largest 8 diffraction maxima, low angle first, 2θ from 15° to 90°:
- 2θ 15.0, I 44
- 2θ 18.5, I 100
- 2θ 19.4, I 37
- 2θ 20.0, I 59
- 2θ 23.4, I 24
- 2θ 23.7, I 76
- 2θ 28.1, I 54
- 2θ 29.7, I 32

---

This entry pairs a crystal structure of SN with its simulated PXRD pattern. Radiation: copper Kα. Structure: the GGA-PBE geometry in the Materials Project.
Neutral-atom scattering factors, no anomalous dispersion.

Structural model:
abc: 3.796 4.435 4.620
angles: 100.00 93.17 91.08
Sites, in units of the cell vectors:
1 S 0.132 0.187 0.190
2 S 0.868 0.813 0.810
3 N 0.031 0.814 0.148
4 N 0.969 0.186 0.852

Largest 8 diffraction maxima, low angle first, 2θ from 15° to 90°:
- 2θ 19.5, I 53
- 2θ 20.3, I 38
- 2θ 23.5, I 100
- 2θ 25.7, I 40
- 2θ 29.8, I 66
- 2θ 30.8, I 44
- 2θ 41.4, I 14
- 2θ 49.3, I 15

---

This entry pairs a crystal structure of SN with its simulated PXRD pattern. Radiation: copper Kα. Structure: the GGA-PBE geometry in the Materials Project.
Neutral-atom scattering factors, no anomalous dispersion.

Structural model:
abc: 4.404 4.285 8.978
angles: 90.00 105.06 90.00
Sites, in units of the cell vectors:
1 S 0.201 0.105 0.100
2 S 0.201 0.395 0.600
3 S 0.799 0.605 0.400
4 S 0.799 0.895 0.900
5 N 0.185 0.556 0.432
6 N 0.185 0.944 0.932
7 N 0.815 0.056 0.068
8 N 0.815 0.444 0.568

Largest 8 diffraction maxima, low angle first, 2θ from 15° to 90°:
- 2θ 20.5, I 24
- 2θ 20.9, I 15
- 2θ 23.2, I 100
- 2θ 25.2, I 26
- 2θ 29.3, I 25
- 2θ 29.5, I 19
- 2θ 29.6, I 10
- 2θ 53.2, I 10

---

This entry pairs a crystal structure of SN with its simulated PXRD pattern. Radiation: copper Kα. Structure: the GGA-PBE geometry in the Materials Project.
Neutral-atom scattering factors, no anomalous dispersion.

Structural model:
abc: 9.513 9.229 7.691
angles: 90.00 90.00 90.00
Sites, in units of the cell vectors:
1 S 0.023 0.211 0.075
2 S 0.023 0.789 0.575
3 S 0.141 0.417 0.284
4 S 0.141 0.583 0.784
5 S 0.359 0.083 0.784
6 S 0.359 0.917 0.284
7 S 0.477 0.289 0.575
8 S 0.477 0.711 0.075
9 S 0.523 0.289 0.925
10 S 0.523 0.711 0.425
11 S 0.641 0.083 0.716
12 S 0.641 0.917 0.216
13 S 0.859 0.417 0.216
14 S 0.859 0.583 0.716
15 S 0.977 0.211 0.425
16 S 0.977 0.789 0.925
17 N 0.000 0.115 0.250
18 N 0.000 0.487 0.750
19 N 0.000 0.513 0.250
20 N 0.000 0.885 0.750
21 N 0.159 0.314 0.114
22 N 0.159 0.686 0.614
23 N 0.341 0.186 0.614
24 N 0.341 0.814 0.114
25 N 0.500 0.013 0.250
26 N 0.500 0.385 0.750
27 N 0.500 0.615 0.250
28 N 0.500 0.987 0.750
29 N 0.659 0.186 0.886
30 N 0.659 0.814 0.386
31 N 0.841 0.314 0.386
32 N 0.841 0.686 0.886

Largest 8 diffraction maxima, low angle first, 2θ from 15° to 90°:
- 2θ 17.7, I 100
- 2θ 18.7, I 22
- 2θ 26.8, I 15
- 2θ 29.4, I 12
- 2θ 29.8, I 15
- 2θ 30.3, I 18
- 2θ 40.9, I 11
- 2θ 44.4, I 12

---

This entry pairs a crystal structure of SN with its simulated PXRD pattern. Radiation: copper Kα. Structure: the GGA-PBE geometry in the Materials Project.
Neutral-atom scattering factors, no anomalous dispersion.

Structural model:
abc: 4.757 4.534 8.422
angles: 90.00 112.08 90.00
Sites, in units of the cell vectors:
1 S 0.167 0.216 0.335
2 S 0.167 0.284 0.835
3 S 0.833 0.716 0.165
4 S 0.833 0.784 0.665
5 N 0.123 0.565 0.313
6 N 0.123 0.935 0.813
7 N 0.877 0.065 0.187
8 N 0.877 0.435 0.687

Largest 8 diffraction maxima, low angle first, 2θ from 15° to 90°:
- 2θ 20.1, I 52
- 2θ 22.8, I 35
- 2θ 24.1, I 100
- 2θ 28.2, I 33
- 2θ 30.2, I 28
- 2θ 41.3, I 9
- 2θ 43.7, I 9
- 2θ 49.4, I 10

---

This entry pairs a crystal structure of S3N2 with its simulated PXRD pattern. Radiation: copper Kα. Structure: the GGA-PBE geometry in the Materials Project.
Neutral-atom scattering factors, no anomalous dispersion.

Structural model:
abc: 8.760 5.157 4.314
angles: 90.00 90.00 90.00
Sites, in units of the cell vectors:
1 S 0.000 0.213 0.000
2 S 0.226 0.802 0.918
3 S 0.274 0.198 0.418
4 S 0.500 0.787 0.500
5 S 0.726 0.198 0.418
6 S 0.774 0.802 0.918
7 N 0.157 0.046 0.130
8 N 0.343 0.954 0.630
9 N 0.657 0.954 0.630
10 N 0.843 0.046 0.130

Largest 8 diffraction maxima, low angle first, 2θ from 15° to 90°:
- 2θ 17.2, I 68
- 2θ 20.0, I 21
- 2θ 20.3, I 24
- 2θ 23.0, I 56
- 2θ 26.9, I 21
- 2θ 34.0, I 100
- 2θ 35.3, I 16
- 2θ 45.9, I 12

---

This entry pairs a crystal structure of S5N3 with its simulated PXRD pattern. Radiation: copper Kα. Structure: the GGA-PBE geometry in the Materials Project.
Neutral-atom scattering factors, no anomalous dispersion.

Structural model:
abc: 8.277 13.874 7.248
angles: 90.00 90.00 90.00
Sites, in units of the cell vectors:
1 S 0.052 0.128 0.151
2 S 0.052 0.372 0.151
3 S 0.164 0.250 0.261
4 S 0.231 0.139 0.791
5 S 0.231 0.361 0.791
6 S 0.269 0.639 0.291
7 S 0.269 0.861 0.291
8 S 0.336 0.750 0.761
9 S 0.448 0.628 0.651
10 S 0.448 0.872 0.651
11 S 0.552 0.128 0.349
12 S 0.552 0.372 0.349
13 S 0.664 0.250 0.239
14 S 0.731 0.139 0.709
15 S 0.731 0.361 0.709
16 S 0.769 0.639 0.209
17 S 0.769 0.861 0.209
18 S 0.836 0.750 0.739
19 S 0.948 0.628 0.849
20 S 0.948 0.872 0.849
21 N 0.138 0.094 0.961
22 N 0.138 0.406 0.961
23 N 0.234 0.750 0.264
24 N 0.266 0.250 0.764
25 N 0.362 0.594 0.461
26 N 0.362 0.906 0.461
27 N 0.638 0.094 0.539
28 N 0.638 0.406 0.539
29 N 0.734 0.750 0.236
30 N 0.766 0.250 0.736
31 N 0.862 0.594 0.039
32 N 0.862 0.906 0.039

Largest 8 diffraction maxima, low angle first, 2θ from 15° to 90°:
- 2θ 16.3, I 59
- 2θ 17.5, I 34
- 2θ 22.4, I 58
- 2θ 24.6, I 33
- 2θ 25.6, I 100
- 2θ 27.8, I 21
- 2θ 31.5, I 25
- 2θ 41.1, I 33